For Zn3Ru2, a structure optimized by DFT (PBE) gives the computed X-ray diffraction stick pattern in this record (Cu Kα (weighted mean of Kα1 and Kα2)).

Main lines, low angle first (2θ from 5° to 70°):
index	two_theta	I (rel.)
0 0 3	8.13	5.9
0 0 6	16.30	6.5
0 0 9	24.56	1.3
1 0 1	37.87	1.8
1 0 4	39.41	1.3
0 1 5	40.31	100.0
0 0 15	41.53	30.2
1 0 10	47.25	62.3
1 1 0	68.19	19.9
0 1 20	69.90	18.0

```
15
Lattice="2.750 0.000 0.000 -1.375 2.382 0.000 0.000 0.000 32.620" Properties=species:S:1:pos:R:3 pbc="T T T"
Zn 0.000 0.000 0.000
Zn 0.000 0.000 6.585
Zn 0.000 0.000 26.035
Zn 0.000 1.588 15.162
Zn 0.000 1.588 21.746
Zn 0.000 1.588 28.331
Zn 1.375 0.794 4.288
Zn 1.375 0.794 10.873
Zn 1.375 0.794 17.458
Ru 0.000 0.000 13.022
Ru 0.000 0.000 19.597
Ru 0.000 1.588 2.149
Ru 0.000 1.588 8.724
Ru 1.375 0.794 23.896
Ru 1.375 0.794 30.471
```



For Zn2Ru, a structure optimized by DFT (PBE) gives the computed X-ray diffraction stick pattern in this record (Cu Kα (weighted mean of Kα1 and Kα2)).

Main lines, low angle first (2θ from 5° to 70°):
index	two_theta	I (rel.)
1 1 1	37.33	24.3
2 0 2	38.74	12.7
4 0 -2	41.91	35.0
1 1 -2	43.02	100.0
4 0 1	44.21	21.5
0 0 3	44.34	21.5
5 1 -1	57.30	6.7
3 1 -3	57.42	6.6
0 2 0	66.39	8.5
3 1 3	69.21	14.6

```
12
Lattice="9.811 0.000 0.000 0.000 2.816 0.000 -1.580 0.000 6.128" Properties=species:S:1:pos:R:3 pbc="T T T"
Zn 0.000 0.000 0.000
Zn -0.509 0.000 3.695
Zn 0.679 1.408 5.770
Zn 3.359 0.000 1.686
Zn 4.905 1.408 0.000
Zn 4.396 1.408 3.695
Zn 5.584 0.000 5.770
Zn 8.264 1.408 1.686
Ru 1.112 1.408 2.059
Ru 2.136 0.000 4.054
Ru 6.018 0.000 2.059
Ru 7.041 1.408 4.054
```



For Zn15Ru, a structure optimized by DFT (PBE) gives the computed X-ray diffraction stick pattern in this record (Cu Kα (weighted mean of Kα1 and Kα2)).

Main lines, low angle first (2θ from 5° to 70°):
index	two_theta	I (rel.)
0 0 1	10.02	1.0
1 0 0	18.54	0.6
1 0 1	21.12	1.0
2 0 0	37.59	24.7
0 0 4	40.89	25.5
2 0 2	43.00	100.0
2 0 4	56.75	14.0
2 2 0	67.83	15.9

```
16
Lattice="5.526 0.000 0.000 -2.763 4.786 0.000 0.000 0.000 8.827" Properties=species:S:1:pos:R:3 pbc="T T T"
Zn 0.000 0.000 0.000
Zn -1.353 2.409 4.414
Zn 1.373 0.793 2.262
Zn 1.373 0.793 6.565
Zn 0.000 3.191 2.141
Zn 0.000 3.191 6.686
Zn 1.353 2.409 4.414
Zn 0.000 4.754 4.414
Zn 2.763 0.019 0.000
Zn 1.398 2.383 0.000
Zn 4.153 0.793 2.262
Zn 4.153 0.793 6.565
Zn 2.763 3.200 2.262
Zn 2.763 3.200 6.565
Zn 4.128 2.383 0.000
Ru 0.000 0.000 4.414
```



Please write out number 1 again, unchanged.
For Zn3Ru2, a structure optimized by DFT (PBE) gives the computed X-ray diffraction stick pattern in this record (Cu Kα (weighted mean of Kα1 and Kα2)).

Main lines, low angle first (2θ from 5° to 70°):
index	two_theta	I (rel.)
0 0 3	8.13	5.9
0 0 6	16.30	6.5
0 0 9	24.56	1.3
1 0 1	37.87	1.8
1 0 4	39.41	1.3
0 1 5	40.31	100.0
0 0 15	41.53	30.2
1 0 10	47.25	62.3
1 1 0	68.19	19.9
0 1 20	69.90	18.0

```
15
Lattice="2.750 0.000 0.000 -1.375 2.382 0.000 0.000 0.000 32.620" Properties=species:S:1:pos:R:3 pbc="T T T"
Zn 0.000 0.000 0.000
Zn 0.000 0.000 6.585
Zn 0.000 0.000 26.035
Zn 0.000 1.588 15.162
Zn 0.000 1.588 21.746
Zn 0.000 1.588 28.331
Zn 1.375 0.794 4.288
Zn 1.375 0.794 10.873
Zn 1.375 0.794 17.458
Ru 0.000 0.000 13.022
Ru 0.000 0.000 19.597
Ru 0.000 1.588 2.149
Ru 0.000 1.588 8.724
Ru 1.375 0.794 23.896
Ru 1.375 0.794 30.471
```